The following is a simulated XRD peak list of AcPHPt6. It was derived from DFT lattice parameters and positions (PBE), using Cu Ka.
Lines closer than 0.1° are merged.

Top 12 peaks for 2θ = 10–90°, sorted by position:
| Position (°2θ) | intensity |
| --- | --- |
| 26.86 | 14 |
| 27.20 | 11 |
| 32.32 | 37 |
| 33.17 | 100 |
| 35.71 | 45 |
| 36.47 | 25 |
| 43.40 | 26 |
| 46.99 | 44 |
| 47.22 | 21 |
| 48.01 | 12 |
| 66.05 | 17 |
| 71.62 | 14 |

Atomic structure:
```
AcPHPt6
1.0
-3.790 3.850 5.539
3.790 -3.850 5.539
3.790 3.850 -5.539
Ac P H Pt
2 2 2 12
Direct
0.413 0.163 0.250
0.587 0.837 0.750
0.000 0.000 0.500
0.000 0.500 0.000
0.000 0.500 0.500
0.500 0.500 0.000
0.094 0.417 0.270
0.094 0.825 0.678
0.119 0.869 0.250
0.300 0.550 0.750
0.353 0.175 0.770
0.353 0.583 0.178
0.647 0.417 0.822
0.647 0.825 0.230
0.700 0.450 0.250
0.881 0.131 0.750
0.906 0.175 0.322
0.906 0.583 0.730
```

The following is a simulated XRD peak list of K5PtAuO2. It was derived from DFT lattice parameters and positions (PBE), using Cu Ka.
Lines closer than 0.1° are merged.

Top 12 peaks for 2θ = 10–90°, sorted by position:
| Position (°2θ) | intensity |
| --- | --- |
| 19.08 | 100 |
| 19.24 | 12 |
| 23.36 | 22 |
| 30.44 | 78 |
| 33.28 | 41 |
| 33.55 | 22 |
| 38.66 | 44 |
| 47.78 | 14 |
| 47.98 | 17 |
| 51.92 | 12 |
| 52.22 | 17 |
| 57.71 | 25 |

Atomic structure:
```
K5PtAuO2
1.0
5.385 0.000 0.000
0.000 5.385 0.000
0.000 0.000 9.228
K Pt Au O
5 1 1 2
Direct
0.000 0.000 0.000
0.000 0.500 0.288
0.000 0.500 0.712
0.500 0.000 0.288
0.500 0.000 0.712
0.000 0.000 0.500
0.500 0.500 0.000
0.000 0.000 0.278
0.000 0.000 0.722
```

The following is a simulated XRD peak list of PrMg2GaN. It was derived from DFT lattice parameters and positions (PBE), using Cu Ka.
Lines closer than 0.1° are merged.

Top 12 peaks for 2θ = 10–90°, sorted by position:
| Position (°2θ) | intensity |
| --- | --- |
| 13.34 | 23 |
| 22.58 | 57 |
| 25.44 | 31 |
| 26.86 | 34 |
| 29.19 | 29 |
| 31.89 | 46 |
| 33.91 | 78 |
| 34.27 | 100 |
| 35.36 | 55 |
| 47.42 | 25 |
| 55.93 | 37 |
| 62.97 | 21 |

Atomic structure:
```
PrMg2GaN
1.0
1.815 -6.639 0.000
1.815 6.639 0.000
0.000 0.000 7.877
Pr Mg Ga N
2 4 2 2
Direct
0.030 0.970 0.750
0.970 0.030 0.250
0.347 0.653 0.549
0.347 0.653 0.951
0.653 0.347 0.049
0.653 0.347 0.451
0.249 0.751 0.250
0.751 0.249 0.750
0.500 0.500 0.000
0.500 0.500 0.500
```

The following is a simulated XRD peak list of Ce3HN2. It was derived from DFT lattice parameters and positions (PBE), using Cu Ka.
Lines closer than 0.1° are merged.

Top 12 peaks for 2θ = 10–90°, sorted by position:
| Position (°2θ) | intensity |
| --- | --- |
| 27.82 | 30 |
| 29.38 | 100 |
| 31.53 | 28 |
| 34.93 | 30 |
| 38.02 | 14 |
| 43.60 | 10 |
| 48.78 | 19 |
| 51.10 | 8 |
| 52.18 | 20 |
| 55.70 | 11 |
| 61.05 | 29 |
| 84.32 | 9 |

Atomic structure:
```
Ce3HN2
1.0
1.752 -6.070 0.000
1.752 6.070 0.000
0.000 0.000 10.548
Ce H N
6 2 4
Direct
0.101 0.899 0.750
0.377 0.623 0.577
0.377 0.623 0.923
0.623 0.377 0.077
0.623 0.377 0.423
0.899 0.101 0.250
0.230 0.770 0.250
0.770 0.230 0.750
0.000 0.000 0.000
0.000 0.000 0.500
0.481 0.519 0.750
0.519 0.481 0.250
```